(1)
Sm3SiS6Cl: calculated X-ray powder pattern (copper Kα), based on a DFT-relaxed cell (GGA-PBE, Alexandria).
Lines closer than 0.1° are merged.

Crystal structure
a = 9.917 Å, b = 5.721 Å, c = 10.006 Å
α = 90.00°, β = 118.32°, γ = 90.00°
Space group P2_1 (No. 4)
Symmetry-distinct sites (fractional):
Sm 0.137 0.000 0.363 (multiplicity 2)
Sm 0.226 0.999 0.876 (multiplicity 2)
Sm 0.353 0.502 0.235 (multiplicity 2)
Si 0.338 0.585 0.671 (multiplicity 2)
S 0.092 0.478 0.263 (multiplicity 2)
S 0.115 0.731 0.597 (multiplicity 2)
S 0.257 0.975 0.165 (multiplicity 2)
S 0.334 0.217 0.670 (multiplicity 2)
S 0.419 0.736 0.524 (multiplicity 2)
S 0.475 0.734 0.893 (multiplicity 2)
Cl 0.156 0.473 0.913 (multiplicity 2)

Main lines, sorted by position (5 to 70 degrees two-theta):
d_spacing	2theta	I/Imax	index
4.791	18.52	61	1 1 0
4.365	20.35	49	2 0 0
3.490	25.52	90	0 1 2
3.470	25.67	96	2 1 0
3.425	26.01	100	2 1 -2
2.860	31.27	70	0 2 0
2.479	36.23	69	4 0 -2
2.400	37.47	53	4 0 -1
2.380	37.80	66	3 0 -4
2.233	40.39	49	1 1 -4
2.150	42.03	53	2 2 -3
1.829	49.86	47	1 1 4



(2)
Sm3S3Cl2: calculated X-ray powder pattern (copper Kα), based on a DFT-relaxed cell (GGA-PBE, Alexandria).
Lines closer than 0.1° are merged.

Crystal structure
a = 3.739 Å, b = 4.424 Å, c = 21.233 Å
α = 90.00°, β = 90.00°, γ = 90.00°
Space group Immm (No. 71)
Symmetry-distinct sites (fractional):
Sm 0.000 0.000 0.000 (multiplicity 2)
Sm 0.000 0.500 0.155 (multiplicity 4)
S 0.000 0.000 0.500 (multiplicity 2)
S 0.000 0.500 0.385 (multiplicity 4)
Cl 0.000 0.000 0.244 (multiplicity 4)

Main lines, sorted by position (5 to 70 degrees two-theta):
d_spacing	2theta	I/Imax	index
3.752	23.72	64	0 1 3
3.682	24.17	26	1 0 1
3.539	25.17	27	0 0 6
2.806	31.89	13	1 0 5
2.758	32.47	20	1 1 2
2.515	35.70	100	1 1 4
2.356	38.21	16	1 0 7
2.212	40.79	23	0 2 0
2.082	43.47	19	0 1 9
1.869	48.71	13	2 0 0
1.704	53.80	15	1 1 10
1.673	54.87	14	2 1 3



(3)
SmS5Cl: calculated X-ray powder pattern (copper Kα), based on a DFT-relaxed cell (GGA-PBE, Alexandria).
Lines closer than 0.1° are merged.

Crystal structure
a = 6.939 Å, b = 12.643 Å, c = 5.206 Å
α = 90.00°, β = 131.02°, γ = 90.00°
Space group C2 (No. 5)
Symmetry-distinct sites (fractional):
Sm 0.000 0.000 0.000 (multiplicity 2)
S 0.000 0.765 0.000 (multiplicity 2)
S 0.120 0.202 0.758 (multiplicity 4)
S 0.192 0.934 0.670 (multiplicity 4)
Cl 0.000 0.573 0.500 (multiplicity 2)

Main lines, sorted by position (5 to 70 degrees two-theta):
d_spacing	2theta	I/Imax	index
6.322	14.01	59	0 2 0
4.837	18.34	100	1 1 0
4.782	18.55	50	1 1 -1
3.266	27.31	80	1 3 -1
3.161	28.23	30	0 4 0
3.041	29.37	29	2 2 -1
2.583	34.73	30	2 0 -2
2.463	36.49	27	0 4 1
2.416	37.21	48	1 1 1
2.393	37.59	46	2 2 -2
2.277	39.58	31	1 5 0
2.193	41.16	28	3 1 -1